No. 1
Diffraction record for La2NdGe4Pd4. The powder diffractogram is simulated, not measured: it uses DFT lattice parameters and positions (GGA-PBE) and Cu Kα.

Principal peaks in the range 2θ from 10° to 90°, sorted by position:
| index | 2θ (°) | I/Imax |
| --- | --- | --- |
| 1 0 7 | 32.60 | 42 |
| 1 1 4 | 32.73 | 100 |
| 0 1 9 | 37.70 | 17 |
| 0 2 0 | 41.01 | 35 |
| 2 0 0 | 43.39 | 25 |
| 0 1 11 | 44.08 | 23 |
| 1 2 7 | 53.33 | 20 |
| 2 2 0 | 61.22 | 18 |
| 2 1 11 | 63.57 | 15 |
| 3 1 4 | 72.85 | 14 |

Atomic structure:
abc: 4.171 4.403 25.550
angles: 90.00 90.00 90.00
Space group Immm (No. 71)
One atom of each set of equivalent atoms:
La (0.000, 0.000, 0.147) [4 per cell]
Nd (0.000, 0.500, 0.000) [2 per cell]
Ge (0.000, 0.000, 0.305) [4 per cell]
Ge (0.000, 0.500, 0.451) [4 per cell]
Pd (0.000, 0.000, 0.404) [4 per cell]
Pd (0.000, 0.500, 0.251) [4 per cell]

=====

No. 2
Diffraction record for Pa3Se3S4. The powder diffractogram is simulated, not measured: it uses DFT lattice parameters and positions (GGA-PBE) and Cu Kα.

Principal peaks in the range 2θ from 10° to 90°, sorted by position:
| index | 2θ (°) | I/Imax |
| --- | --- | --- |
| 2 1 1 | 22.30 | 100 |
| 2 2 0 | 25.81 | 21 |
| 3 2 1 | 34.37 | 71 |
| 4 2 0 | 41.36 | 64 |
| 3 3 2 | 43.47 | 21 |
| 5 1 0 | 47.48 | 21 |
| 5 2 1 | 51.25 | 17 |
| 6 1 1 | 58.25 | 21 |
| 6 4 0 | 69.41 | 14 |
| 5 5 2 | 70.93 | 21 |

Atomic structure:
abc: 9.764 9.764 9.764
angles: 90.00 90.00 90.00
Space group I-43d (No. 220)
One atom of each set of equivalent atoms:
Pa (0.000, 0.250, 0.875) [12 per cell]
Se (0.000, 0.250, 0.375) [12 per cell]
S (0.081, 0.081, 0.081) [16 per cell]

=====

No. 3
Diffraction record for Nd2DyPdPt2Pb3. The powder diffractogram is simulated, not measured: it uses DFT lattice parameters and positions (GGA-PBE) and Cu Kα.

Principal peaks in the range 2θ from 10° to 90°, sorted by position:
| index | 2θ (°) | I/Imax |
| --- | --- | --- |
| 1 3 1 | 31.75 | 100 |
| 1 4 0 | 34.49 | 85 |
| 0 1 3 | 35.15 | 42 |
| 0 5 1 | 35.25 | 18 |
| 0 3 3 | 40.04 | 27 |
| 1 4 2 | 41.73 | 28 |
| 2 0 0 | 44.38 | 28 |
| 2 1 3 | 57.85 | 29 |
| 2 3 3 | 61.29 | 15 |
| 1 7 3 | 64.43 | 23 |

Atomic structure:
abc: 4.083 13.465 7.809
angles: 90.00 90.00 90.00
Space group Amm2 (No. 38)
One atom of each set of equivalent atoms:
Nd (0.000, 0.205, 0.000) [4 per cell]
Dy (0.000, 0.000, 0.616) [2 per cell]
Pd (0.000, 0.000, 0.211) [2 per cell]
Pt (0.500, 0.162, 0.703) [4 per cell]
Pb (0.500, 0.000, 0.949) [2 per cell]
Pb (0.500, 0.128, 0.335) [4 per cell]

=====

No. 4
Diffraction record for Nb3GaAs. The powder diffractogram is simulated, not measured: it uses DFT lattice parameters and positions (GGA-PBE) and Cu Kα.

Principal peaks in the range 2θ from 10° to 90°, sorted by position:
| index | 2θ (°) | I/Imax |
| --- | --- | --- |
| 1 1 2 | 32.88 | 20 |
| 0 2 3 | 33.88 | 25 |
| 1 3 0 | 34.10 | 37 |
| 1 3 1 | 35.60 | 40 |
| 1 3 2 | 39.79 | 100 |
| 0 0 4 | 40.40 | 36 |
| 2 0 0 | 50.71 | 25 |
| 0 6 2 | 51.74 | 35 |
| 2 0 4 | 66.75 | 16 |
| 2 6 2 | 75.37 | 22 |

Atomic structure:
abc: 3.600 11.544 8.931
angles: 90.00 90.00 90.00
Space group Cmcm (No. 63)
One atom of each set of equivalent atoms:
Nb (0.000, 0.099, 0.250) [4 per cell]
Nb (0.000, 0.342, 0.033) [8 per cell]
Ga (0.000, 0.229, 0.750) [4 per cell]
As (0.000, 0.000, 0.000) [4 per cell]

=====

No. 5
Diffraction record for TmCuHgSe3. The powder diffractogram is simulated, not measured: it uses DFT lattice parameters and positions (GGA-PBE) and Cu Kα.

Principal peaks in the range 2θ from 10° to 90°, sorted by position:
| index | 2θ (°) | I/Imax |
| --- | --- | --- |
| 0 2 2 | 21.41 | 67 |
| 1 3 1 | 31.62 | 100 |
| 0 0 4 | 33.68 | 43 |
| 1 1 3 | 34.74 | 46 |
| 1 3 2 | 34.90 | 86 |
| 1 3 3 | 39.86 | 26 |
| 0 4 4 | 43.61 | 27 |
| 0 6 2 | 44.38 | 35 |
| 2 0 0 | 46.24 | 34 |
| 1 3 5 | 53.14 | 27 |

Atomic structure:
abc: 3.926 13.261 10.645
angles: 90.00 90.00 90.00
Space group Cmcm (No. 63)
One atom of each set of equivalent atoms:
Tm (0.000, 0.000, 0.000) [4 per cell]
Cu (0.000, 0.472, 0.250) [4 per cell]
Hg (0.000, 0.241, 0.750) [4 per cell]
Se (0.000, 0.091, 0.250) [4 per cell]
Se (0.000, 0.359, 0.070) [8 per cell]

=====

No. 6
Diffraction record for Li2Mg2InCu2Sn. The powder diffractogram is simulated, not measured: it uses DFT lattice parameters and positions (GGA-PBE) and Cu Kα.

Principal peaks in the range 2θ from 10° to 90°, sorted by position:
| index | 2θ (°) | I/Imax |
| --- | --- | --- |
| 1 0 1 | 24.04 | 66 |
| 1 1 0 | 27.82 | 13 |
| 2 0 0 | 39.76 | 100 |
| 2 1 1 | 47.00 | 33 |
| 2 2 0 | 57.48 | 16 |
| 3 0 1 | 63.20 | 13 |
| 3 1 0 | 65.04 | 5 |
| 3 1 2 | 72.16 | 33 |
| 3 2 1 | 77.32 | 10 |
| 4 0 0 | 85.69 | 10 |

Atomic structure:
abc: 4.533 4.533 6.416
angles: 90.00 90.00 90.00
Space group P-4m2 (No. 115)
One atom of each set of equivalent atoms:
Li (0.000, 0.500, 0.249) [2 per cell]
Mg (0.000, 0.000, 0.500) [1 per cell]
Mg (0.500, 0.500, 0.000) [1 per cell]
In (0.000, 0.000, 0.000) [1 per cell]
Cu (0.000, 0.500, 0.749) [2 per cell]
Sn (0.500, 0.500, 0.500) [1 per cell]

=====

No. 7
Diffraction record for BiPd15. The powder diffractogram is simulated, not measured: it uses DFT lattice parameters and positions (GGA-PBE) and Cu Kα.

Principal peaks in the range 2θ from 10° to 90°, sorted by position:
| index | 2θ (°) | I/Imax |
| --- | --- | --- |
| 0 1 11 | 37.44 | 27 |
| 0 1 12 | 39.68 | 76 |
| 2 1 0 | 39.82 | 100 |
| 2 0 -11 | 44.08 | 16 |
| 2 0 12 | 46.05 | 50 |
| 0 2 0 | 46.56 | 32 |
| 2 2 12 | 67.55 | 32 |
| 2 1 24 | 80.84 | 16 |
| 4 1 12 | 81.08 | 19 |
| 2 3 0 | 81.68 | 19 |

Atomic structure:
abc: 5.563 3.903 33.525
angles: 90.00 90.01 90.00
Space group P2_1/m (No. 11)
One atom of each set of equivalent atoms:
Bi (0.125, 0.250, 0.180) [2 per cell]
Pd (0.124, 0.250, 0.689) [2 per cell]
Pd (0.125, 0.250, 0.268) [2 per cell]
Pd (0.125, 0.250, 0.353) [2 per cell]
Pd (0.125, 0.250, 0.437) [2 per cell]
Pd (0.125, 0.250, 0.521) [2 per cell]
Pd (0.125, 0.250, 0.605) [2 per cell]
Pd (0.126, 0.250, 0.775) [2 per cell]
Pd (0.374, 0.750, 0.311) [2 per cell]
Pd (0.375, 0.750, 0.395) [2 per cell]
Pd (0.375, 0.750, 0.479) [2 per cell]
Pd (0.375, 0.750, 0.563) [2 per cell]
Pd (0.375, 0.750, 0.647) [2 per cell]
Pd (0.375, 0.750, 0.731) [2 per cell]
Pd (0.375, 0.750, 0.816) [2 per cell]
Pd (0.377, 0.750, 0.225) [2 per cell]

=====

No. 8
Diffraction record for PmOF. The powder diffractogram is simulated, not measured: it uses DFT lattice parameters and positions (GGA-PBE) and Cu Kα.

Principal peaks in the range 2θ from 10° to 90°, sorted by position:
| index | 2θ (°) | I/Imax |
| --- | --- | --- |
| 2 0 1 | 27.84 | 100 |
| 0 1 1 | 27.95 | 100 |
| 0 0 2 | 32.21 | 15 |
| 2 1 0 | 32.37 | 40 |
| 4 0 0 | 46.31 | 85 |
| 0 2 0 | 46.57 | 20 |
| 2 0 3 | 54.82 | 20 |
| 4 1 1 | 54.95 | 30 |
| 2 2 1 | 55.13 | 30 |
| 6 0 1 | 74.55 | 14 |

Atomic structure:
abc: 7.844 3.900 5.559
angles: 90.00 90.00 90.00
Space group Pnma (No. 62)
One atom of each set of equivalent atoms:
Pm (0.128, 0.250, 0.214) [4 per cell]
O (0.139, 0.750, 0.987) [4 per cell]
F (0.107, 0.750, 0.490) [4 per cell]